Diffraction record for MnVGe2O6. The PXRD pattern is simulated, not measured: it uses the GGA+U geometry in Alexandria and Cu Kα.
Neutral-atom scattering factors, no anomalous dispersion.

Cell and atoms:
```
20
Lattice="4.992 -4.664 0.000 4.992 4.664 0.000 -1.091 0.000 5.241" Properties=species:S:1:pos:R:3 pbc="T T T"
Mn 4.174 2.596 3.931
Mn 4.719 -2.596 1.310
V 4.719 0.864 1.310
V 4.174 -0.864 3.931
Ge 1.158 0.866 4.124
Ge 1.704 -0.866 1.503
Ge 7.189 0.866 3.739
Ge 7.735 -0.866 1.118
O 1.337 0.586 0.446
O 3.391 2.425 1.957
O 0.792 -0.586 3.067
O 2.883 0.850 4.517
O 6.048 2.425 0.664
O 3.429 -0.850 1.896
O 5.465 0.850 3.345
O 2.845 -2.425 4.578
O 6.010 -0.850 0.724
O 8.102 0.586 2.175
O 5.503 -2.425 3.284
O 7.556 -0.586 4.795
```

Principal peaks in the range 2θ from 10° to 80°, in order of rising 2θ:
2θ = 29.0°, I = 87; 2θ = 29.4°, I = 100; 2θ = 33.5°, I = 100; 2θ = 33.8°, I = 89; 2θ = 34.2°, I = 73; 2θ = 55.2°, I = 46; 2θ = 59.8°, I = 43; 2θ = 61.6°, I = 46